# Li2PmTlBr6
Calculated powder X-ray diffraction pattern, a wavelength of 1.5418 Å. Input: a crystal structure in Alexandria, relaxed with PBE.

Principal peaks in the range 2θ = 10–90°, low angle first:
| two_theta | I_rel |
| --- | --- |
| 16.50 | 97 |
| 22.62 | 63 |
| 27.70 | 100 |
| 29.42 | 77 |
| 33.35 | 39 |
| 36.39 | 80 |
| 38.44 | 30 |
| 41.62 | 30 |
| 42.54 | 54 |
| 47.86 | 27 |

Cell and atoms:
a = 7.8989 Å, b = 7.8989 Å, c = 7.8989 Å
α = 55.54°, β = 55.54°, γ = 55.54°
Atoms (fractional coordinates):
Li 0.0000 0.0000 0.0000
Li 0.4938 0.4938 0.4938
Pm 0.6896 0.6896 0.6896
Tl 0.2096 0.2096 0.2096
Br 0.1070 0.4039 0.7521
Br 0.2666 0.8355 0.6756
Br 0.4039 0.7521 0.1070
Br 0.6756 0.2666 0.8355
Br 0.7521 0.1070 0.4039
Br 0.8355 0.6756 0.2666